# LaSi2Ni9
Computed powder diffractogram, Cu Kα. Input: the GGA-PBE geometry in the Materials Project.
Peak positions follow from Bragg's law for the DFT cell and can differ from measured ones.

The 8 most intense peaks (10 to 90 degrees two-theta), in order of rising 2θ:
- 30.76 deg, 2.907 Å, intensity 10
- 35.85 deg, 2.505 Å, intensity 14
- 40.95 deg, 2.204 Å, intensity 100
- 44.70 deg, 2.027 Å, intensity 15
- 47.04 deg, 1.932 Å, intensity 11
- 48.39 deg, 1.881 Å, intensity 23
- 50.75 deg, 1.799 Å, intensity 12
- 74.54 deg, 1.273 Å, intensity 14

Structural model:
Cell lengths 7.6380, 7.6380, 7.6380 Å; angles 99.52, 99.52, 132.00 degrees
Positions (direct):
La 0.3750 0.6250 0.7500
La 0.6250 0.3750 0.2500
Si 0.0000 0.0000 0.0000
Si 0.0000 0.0000 0.5000
Si 0.0000 0.5000 0.0000
Si 0.5000 0.0000 0.5000
Ni 0.1250 0.8750 0.2500
Ni 0.1427 0.5640 0.3288
Ni 0.1427 0.8139 0.5788
Ni 0.1861 0.2648 0.3288
Ni 0.1861 0.8573 0.9212
Ni 0.2648 0.1861 0.8288
Ni 0.2648 0.4360 0.0788
Ni 0.4360 0.2648 0.5788
Ni 0.4360 0.8573 0.1712
Ni 0.5640 0.1427 0.8288
Ni 0.5640 0.7352 0.4212
Ni 0.7352 0.5640 0.9212
Ni 0.7352 0.8139 0.1712
Ni 0.8139 0.1427 0.0788
Ni 0.8139 0.7352 0.6712
Ni 0.8573 0.1861 0.4212
Ni 0.8573 0.4360 0.6712
Ni 0.8750 0.1250 0.7500